Computed X-ray powder pattern
Compound: UCrIO6
Radiation: copper Kα
Structure: a structure optimized by DFT (PBE+U)

Top 12 peaks for 15° ≤ 2θ ≤ 90°, by intensity:
hkl 1 0 2, 26.2 deg, I = 100; hkl 1 1 0, 32.1 deg, I = 75; hkl 1 1 2, 37.3 deg, I = 67; hkl 1 1 4, 50.2 deg, I = 58; hkl 0 0 2, 18.6 deg, I = 53; hkl 1 0 1, 20.6 deg, I = 35; hkl 2 1 2, 53.7 deg, I = 27; hkl 2 0 2, 41.9 deg, I = 26; hkl 3 0 4, 70.5 deg, I = 21; hkl 1 0 0, 18.3 deg, I = 20; hkl 3 0 2, 60.6 deg, I = 17; hkl 3 0 0, 57.1 deg, I = 15

Crystal structure
Cell: 5.584 5.584 9.564 Å, 90.00 90.00 120.00°
Sites, in units of the cell vectors:
U 0.333 0.667 0.250
U 0.667 0.333 0.750
Cr 0.000 0.000 0.000
Cr 0.000 0.000 0.500
I 0.333 0.667 0.750
I 0.667 0.333 0.250
O 0.162 0.323 0.113
O 0.162 0.323 0.387
O 0.162 0.838 0.113
O 0.162 0.838 0.387
O 0.323 0.162 0.613
O 0.323 0.162 0.887
O 0.677 0.838 0.113
O 0.677 0.838 0.387
O 0.838 0.162 0.613
O 0.838 0.162 0.887
O 0.838 0.677 0.613
O 0.838 0.677 0.887